1.
For NaAgBrF, a cell relaxed with PBE gives the computed powder X-ray diffraction pattern in this record (Cu Kα (weighted mean of Kα1 and Kα2)).

Atomic structure:
```
data_NaAgBrF
_chemical_formula_sum 'Na6 Ag6 Br6 F6'
_cell_length_a 4.1124
_cell_length_b 4.1124
_cell_length_c 37.3425
_cell_angle_alpha 90.00
_cell_angle_beta 90.00
_cell_angle_gamma 120.00
_symmetry_space_group_name_H-M 'R -3 m'
_symmetry_Int_Tables_number 166
_symmetry_space_group_name_Hall '-R 3 2"'
loop_
_atom_site_label
_atom_site_fract_x
_atom_site_fract_y
_atom_site_fract_z
Na1 0.0000 0.0000 0.1373
Ag1 0.0000 0.0000 0.3111
Br1 0.0000 0.0000 0.3898
F1 0.0000 0.0000 0.1981
```

Top 10 peaks for 10° ≤ 2θ ≤ 80°, sorted by position:
- 25.12°, intensity 56
- 25.46°, intensity 59
- 26.79°, intensity 58
- 34.81°, intensity 83
- 36.57°, intensity 55
- 40.34°, intensity 67
- 42.34°, intensity 31
- 44.04°, intensity 100
- 44.67°, intensity 38
- 46.52°, intensity 35

***

2.
For Rb2AgBr6F, a cell relaxed with PBE gives the computed powder X-ray diffraction pattern in this record (Cu Kα (weighted mean of Kα1 and Kα2)).

Atomic structure:
```
data_Rb2AgBr6F
_chemical_formula_sum 'Rb4 Ag2 Br12 F2'
_cell_length_a 7.918
_cell_length_b 7.918
_cell_length_c 10.438
_cell_angle_alpha 90.00
_cell_angle_beta 90.00
_cell_angle_gamma 90.00
_symmetry_space_group_name_H-M 'I 4/m m m'
_symmetry_Int_Tables_number 139
_symmetry_space_group_name_Hall '-I 4 2'
loop_
_atom_site_label
_atom_site_fract_x
_atom_site_fract_y
_atom_site_fract_z
Rb1 0.000 0.500 0.250
Ag1 0.000 0.000 0.000
Br1 0.000 0.000 0.290
Br2 0.224 0.224 0.000
F1 0.000 0.000 0.500
```

Top 10 peaks for 10° ≤ 2θ ≤ 80°, sorted by position:
- 14.04°, intensity 23
- 28.01°, intensity 28
- 28.29°, intensity 100
- 31.97°, intensity 86
- 34.37°, intensity 32
- 45.84°, intensity 28
- 47.64°, intensity 44
- 49.06°, intensity 21
- 54.75°, intensity 23
- 58.53°, intensity 21

***

3.
For Rb2AgBr2F2, a cell relaxed with PBE gives the computed powder X-ray diffraction pattern in this record (Cu Kα (weighted mean of Kα1 and Kα2)).

Atomic structure:
```
data_Rb2AgBr2F2
_chemical_formula_sum 'Rb4 Ag2 Br4 F4'
_cell_length_a 4.793
_cell_length_b 4.793
_cell_length_c 16.388
_cell_angle_alpha 90.00
_cell_angle_beta 90.00
_cell_angle_gamma 90.00
_symmetry_space_group_name_H-M 'I 4/m m m'
_symmetry_Int_Tables_number 139
_symmetry_space_group_name_Hall '-I 4 2'
loop_
_atom_site_label
_atom_site_fract_x
_atom_site_fract_y
_atom_site_fract_z
Rb1 0.000 0.000 0.113
Ag1 0.000 0.000 0.500
Br1 0.000 0.000 0.341
F1 0.000 0.500 0.000
```

Top 10 peaks for 10° ≤ 2θ ≤ 80°, sorted by position:
- 10.80°, intensity 29
- 19.30°, intensity 13
- 26.30°, intensity 100
- 33.11°, intensity 65
- 34.34°, intensity 24
- 37.53°, intensity 55
- 50.91°, intensity 37
- 54.13°, intensity 18
- 61.15°, intensity 18
- 78.47°, intensity 14

***

4.
For Ag7S2BrF2, a cell relaxed with PBE gives the computed powder X-ray diffraction pattern in this record (Cu Kα (weighted mean of Kα1 and Kα2)).

Atomic structure:
```
data_Ag7S2BrF2
_chemical_formula_sum 'Ag14 S4 Br2 F4'
_cell_length_a 4.696
_cell_length_b 22.187
_cell_length_c 4.656
_cell_angle_alpha 90.00
_cell_angle_beta 90.00
_cell_angle_gamma 90.00
_symmetry_space_group_name_H-M 'I m m 2'
_symmetry_Int_Tables_number 44
_symmetry_space_group_name_Hall 'I 2 -2'
loop_
_atom_site_label
_atom_site_fract_x
_atom_site_fract_y
_atom_site_fract_z
Ag1 0.000 0.000 0.000
Ag2 0.000 0.148 0.442
Ag3 0.000 0.282 0.174
Ag4 0.000 0.409 0.303
S1 0.000 0.115 0.944
Br1 0.000 0.500 0.888
F1 0.000 0.265 0.678
```

Top 10 peaks for 10° ≤ 2θ ≤ 80°, sorted by position:
- 22.57°, intensity 36
- 26.97°, intensity 42
- 28.16°, intensity 20
- 31.50°, intensity 66
- 34.16°, intensity 100
- 38.33°, intensity 53
- 41.40°, intensity 21
- 43.59°, intensity 27
- 45.17°, intensity 21
- 49.47°, intensity 20